No. 1
Computed XRD peak list of NdPu6Te8 for Cu Kα, from a crystal structure in Alexandria, relaxed with PBE.

Structural model:
Cell lengths 8.8715, 8.8715, 8.8715 Å; angles 60.00, 60.00, 60.00 degrees
Atoms (fractional coordinates):
Nd 0.0000 0.0000 0.0000
Pu 0.0000 0.0000 0.5000
Pu 0.0000 0.5000 0.0000
Pu 0.0000 0.5000 0.5000
Pu 0.5000 0.0000 0.0000
Pu 0.5000 0.0000 0.5000
Pu 0.5000 0.5000 0.0000
Te 0.2500 0.2500 0.2500
Te 0.2553 0.2553 0.7447
Te 0.2553 0.7447 0.2553
Te 0.2553 0.7447 0.7447
Te 0.7447 0.2553 0.2553
Te 0.7447 0.2553 0.7447
Te 0.7447 0.7447 0.2553
Te 0.7500 0.7500 0.7500

Most intense lines, 2θ from 15° to 90°, in order of rising 2θ:
| Position (°2θ) | I_rel |
| --- | --- |
| 20.02 | 7 |
| 24.58 | 9 |
| 28.46 | 100 |
| 40.68 | 77 |
| 48.11 | 5 |
| 50.39 | 28 |
| 58.89 | 13 |
| 66.68 | 36 |
| 74.03 | 27 |
| 88.08 | 9 |

---

No. 2
Computed XRD peak list of SmEr3Hg6 for Cu Kα, from a crystal structure in Alexandria, relaxed with PBE.

Structural model:
Cell lengths 9.1396, 5.1579, 11.1196 Å; angles 90.00, 106.87, 90.00 degrees
Atoms (fractional coordinates):
Sm 0.0651 0.2500 0.3864
Sm 0.9349 0.7500 0.6136
Er 0.2312 0.2500 0.0049
Er 0.3528 0.7500 0.8040
Er 0.4849 0.2500 0.6121
Er 0.5151 0.7500 0.3879
Er 0.6472 0.2500 0.1960
Er 0.7688 0.7500 0.9951
Hg 0.0636 0.7500 0.9063
Hg 0.1402 0.7500 0.2059
Hg 0.1715 0.2500 0.6912
Hg 0.2524 0.7500 0.5186
Hg 0.3574 0.2500 0.2934
Hg 0.4636 0.7500 0.0933
Hg 0.5364 0.2500 0.9067
Hg 0.6426 0.7500 0.7066
Hg 0.7476 0.2500 0.4814
Hg 0.8285 0.7500 0.3088
Hg 0.8598 0.2500 0.7941
Hg 0.9364 0.2500 0.0937

Most intense lines, 2θ from 15° to 90°, in order of rising 2θ:
| Position (°2θ) | I_rel |
| --- | --- |
| 33.98 | 49 |
| 34.19 | 98 |
| 34.61 | 100 |
| 34.79 | 52 |
| 49.43 | 51 |
| 60.68 | 14 |
| 61.49 | 16 |
| 61.88 | 26 |
| 61.98 | 18 |
| 62.25 | 19 |

---

No. 3
Computed XRD peak list of Ac12Ir5N for Cu Kα, from a crystal structure in Alexandria, relaxed with PBE.

Structural model:
Cell lengths 7.4799, 7.4799, 14.0892 Å; angles 94.98, 94.98, 120.09 degrees
Atoms (fractional coordinates):
Ac 0.0361 0.7218 0.6098
Ac 0.1291 0.4592 0.8847
Ac 0.2015 0.2015 0.1162
Ac 0.2782 0.9639 0.3902
Ac 0.3478 0.3478 0.6091
Ac 0.4592 0.1291 0.8847
Ac 0.5408 0.8709 0.1153
Ac 0.6522 0.6522 0.3909
Ac 0.7218 0.0361 0.6098
Ac 0.7985 0.7985 0.8838
Ac 0.8709 0.5408 0.1153
Ac 0.9639 0.2782 0.3902
Ir 0.1671 0.8329 0.0000
Ir 0.3332 0.6668 0.5000
Ir 0.5000 0.5000 0.0000
Ir 0.6668 0.3332 0.5000
Ir 0.8329 0.1671 0.0000
N 0.0000 0.0000 0.5000

Most intense lines, 2θ from 15° to 90°, in order of rising 2θ:
| Position (°2θ) | I_rel |
| --- | --- |
| 25.68 | 16 |
| 26.13 | 69 |
| 28.20 | 100 |
| 29.42 | 28 |
| 32.19 | 37 |
| 38.70 | 42 |
| 41.82 | 24 |
| 41.88 | 48 |
| 43.93 | 18 |
| 51.23 | 19 |

---

No. 4
Computed XRD peak list of NaErPb2Cl8 for Cu Kα, from a crystal structure in Alexandria, relaxed with PBE.

Structural model:
Cell lengths 6.4828, 8.5724, 6.7245 Å; angles 90.00, 90.41, 90.00 degrees
Atoms (fractional coordinates):
Na 0.0000 0.0000 0.0000
Er 0.0000 0.5000 0.0000
Pb 0.5000 0.2456 0.5000
Pb 0.5000 0.7544 0.5000
Cl 0.2196 0.2711 0.1558
Cl 0.2196 0.7289 0.1558
Cl 0.2416 0.5000 0.6855
Cl 0.2727 0.0000 0.6692
Cl 0.7273 0.0000 0.3308
Cl 0.7584 0.5000 0.3145
Cl 0.7804 0.2711 0.8442
Cl 0.7804 0.7289 0.8442

Most intense lines, 2θ from 15° to 90°, in order of rising 2θ:
| Position (°2θ) | I_rel |
| --- | --- |
| 18.95 | 94 |
| 19.08 | 100 |
| 24.63 | 55 |
| 24.90 | 85 |
| 28.22 | 45 |
| 36.77 | 40 |
| 37.19 | 47 |
| 37.34 | 55 |
| 45.68 | 40 |
| 46.64 | 38 |

---

No. 5
Computed XRD peak list of Ba6Dy2Al4O15 for Cu Kα, from a crystal structure in Alexandria, relaxed with PBE.

Structural model:
Cell lengths 7.9297, 5.9660, 18.5475 Å; angles 90.00, 91.60, 90.00 degrees
Atoms (fractional coordinates):
Ba 0.0000 0.1769 0.2500
Ba 0.0000 0.8231 0.7500
Ba 0.0013 0.2555 0.9174
Ba 0.0013 0.7445 0.4174
Ba 0.4702 0.2477 0.9099
Ba 0.4702 0.7523 0.4099
Ba 0.5000 0.2299 0.2500
Ba 0.5000 0.7701 0.7500
Ba 0.5298 0.2477 0.5901
Ba 0.5298 0.7523 0.0901
Ba 0.9987 0.2555 0.5826
Ba 0.9987 0.7445 0.0826
Dy 0.2523 0.2490 0.0893
Dy 0.2523 0.7510 0.5893
Dy 0.7477 0.2490 0.4107
Dy 0.7477 0.7510 0.9107
Al 0.2522 0.2472 0.4442
Al 0.2522 0.7528 0.9442
Al 0.2791 0.2670 0.7318
Al 0.2791 0.7330 0.2318
Al 0.7209 0.2670 0.7682
Al 0.7209 0.7330 0.2682
Al 0.7478 0.2472 0.0558
Al 0.7478 0.7528 0.5558
O 0.0392 0.2543 0.4082
O 0.0392 0.7457 0.9082
O 0.1908 0.1800 0.8123
O 0.1908 0.8200 0.3123
O 0.2296 0.4752 0.1881
O 0.2296 0.5248 0.6881
O 0.2555 0.0462 0.6663
O 0.2555 0.9538 0.1663
O 0.2639 0.0026 0.9981
O 0.2636 0.4826 0.5053
O 0.2636 0.5174 0.0053
O 0.2639 0.9974 0.4981
O 0.4432 0.2620 0.3940
O 0.4432 0.7380 0.8940
O 0.5000 0.2898 0.7500
O 0.5000 0.7102 0.2500
O 0.5568 0.2620 0.1060
O 0.5568 0.7380 0.6060
O 0.7361 0.0026 0.5019
O 0.7364 0.4826 0.9947
O 0.7364 0.5174 0.4947
O 0.7361 0.9974 0.0019
O 0.7445 0.0462 0.8337
O 0.7445 0.9538 0.3337
O 0.7704 0.4752 0.3119
O 0.7704 0.5248 0.8119
O 0.8092 0.1800 0.6877
O 0.8092 0.8200 0.1877
O 0.9608 0.2543 0.0918
O 0.9608 0.7457 0.5918

Most intense lines, 2θ from 15° to 90°, in order of rising 2θ:
| Position (°2θ) | I_rel |
| --- | --- |
| 19.15 | 17 |
| 28.89 | 56 |
| 29.95 | 56 |
| 30.40 | 98 |
| 31.01 | 100 |
| 42.10 | 54 |
| 45.79 | 24 |
| 51.75 | 24 |
| 52.94 | 17 |
| 53.46 | 17 |

---

No. 6
Computed XRD peak list of Pm6Er2Ru for Cu Kα, from a crystal structure in Alexandria, relaxed with PBE.

Structural model:
Cell lengths 9.8888, 9.8888, 3.5857 Å; angles 90.00, 90.00, 125.14 degrees
Atoms (fractional coordinates):
Pm 0.0026 0.3323 0.0000
Pm 0.2476 0.2476 0.5000
Pm 0.3323 0.0026 0.0000
Pm 0.6677 0.9974 0.0000
Pm 0.7524 0.7524 0.5000
Pm 0.9974 0.6677 0.0000
Er 0.3232 0.6768 0.5000
Er 0.6768 0.3232 0.5000
Ru 0.0000 0.0000 0.0000

Most intense lines, 2θ from 15° to 90°, in order of rising 2θ:
| Position (°2θ) | I_rel |
| --- | --- |
| 27.21 | 48 |
| 30.56 | 96 |
| 30.85 | 60 |
| 33.24 | 93 |
| 33.40 | 100 |
| 37.18 | 35 |
| 37.95 | 54 |
| 52.89 | 32 |
| 60.57 | 27 |
| 62.19 | 36 |

---

No. 7
Computed XRD peak list of CsLiS2 for Cu Kα, from a crystal structure in Alexandria, relaxed with PBE.

Structural model:
Cell lengths 8.9083, 8.9083, 8.9083 Å; angles 145.96, 145.96, 48.91 degrees
Atoms (fractional coordinates):
Cs 0.3750 0.6250 0.7500
Cs 0.6250 0.3750 0.2500
Li 0.1250 0.8750 0.2500
Li 0.8750 0.1250 0.7500
S 0.0000 0.0000 0.0000
S 0.0000 0.0000 0.5000
S 0.0000 0.5000 0.0000
S 0.5000 0.0000 0.5000

Most intense lines, 2θ from 15° to 90°, in order of rising 2θ:
| Position (°2θ) | I_rel |
| --- | --- |
| 17.87 | 34 |
| 23.71 | 100 |
| 26.55 | 91 |
| 32.51 | 43 |
| 34.39 | 23 |
| 39.02 | 51 |
| 41.16 | 27 |
| 41.42 | 27 |
| 54.69 | 25 |
| 56.99 | 21 |

---

No. 8
Computed XRD peak list of TbPr12Dy7 for Cu Kα, from a crystal structure in Alexandria, relaxed with PBE.

Structural model:
Cell lengths 8.9415, 8.9415, 8.9415 Å; angles 98.65, 98.65, 98.65 degrees
Atoms (fractional coordinates):
Tb 0.0000 0.0000 0.0000
Pr 0.0907 0.3549 0.3549
Pr 0.2379 0.5000 0.7621
Pr 0.2379 0.7621 0.5000
Pr 0.3549 0.0907 0.3549
Pr 0.3549 0.3549 0.0907
Pr 0.5000 0.2379 0.7621
Pr 0.5000 0.7621 0.2379
Pr 0.6451 0.6451 0.9093
Pr 0.6451 0.9093 0.6451
Pr 0.7621 0.2379 0.5000
Pr 0.7621 0.5000 0.2379
Pr 0.9093 0.6451 0.6451
Dy 0.0924 0.0924 0.6630
Dy 0.0924 0.6630 0.0924
Dy 0.3370 0.9076 0.9076
Dy 0.5000 0.5000 0.5000
Dy 0.6630 0.0924 0.0924
Dy 0.9076 0.3370 0.9076
Dy 0.9076 0.9076 0.3370

Most intense lines, 2θ from 15° to 90°, in order of rising 2θ:
| Position (°2θ) | I_rel |
| --- | --- |
| 28.60 | 57 |
| 30.72 | 76 |
| 30.83 | 78 |
| 31.23 | 100 |
| 33.51 | 40 |
| 33.98 | 23 |
| 48.14 | 29 |
| 54.09 | 23 |
| 55.40 | 33 |
| 56.67 | 21 |

---

No. 9
Computed XRD peak list of Pr3SmHo7 for Cu Kα, from a crystal structure in Alexandria, relaxed with PBE.

Structural model:
Cell lengths 7.0818, 7.0818, 8.7346 Å; angles 90.00, 90.00, 120.00 degrees
Atoms (fractional coordinates):
Pr 0.9995 0.4998 0.0000
Pr 0.5002 0.0005 0.0000
Pr 0.5002 0.4998 0.0000
Sm 0.3333 0.6667 0.3404
Ho 0.1672 0.3343 0.6626
Ho 0.1672 0.8328 0.6626
Ho 0.3348 0.1674 0.3400
Ho 0.6657 0.8328 0.6626
Ho 0.6667 0.3333 0.6605
Ho 0.8326 0.1674 0.3400
Ho 0.8326 0.6652 0.3400

Most intense lines, 2θ from 15° to 90°, in order of rising 2θ:
| Position (°2θ) | I_rel |
| --- | --- |
| 30.71 | 33 |
| 30.91 | 100 |
| 35.78 | 69 |
| 51.37 | 24 |
| 51.63 | 24 |
| 61.05 | 15 |
| 61.28 | 28 |
| 61.39 | 14 |
| 64.40 | 12 |
| 84.28 | 12 |

---

No. 10
Computed XRD peak list of AcVPIr6 for Cu Kα, from a crystal structure in Alexandria, relaxed with PBE.

Structural model:
Cell lengths 8.1016, 8.1016, 8.1016 Å; angles 136.68, 108.51, 87.42 degrees
Atoms (fractional coordinates):
Ac 0.4256 0.1756 0.2500
Ac 0.5744 0.8244 0.7500
V 0.0000 0.0000 0.5000
V 0.0000 0.5000 0.0000
P 0.0000 0.5000 0.5000
P 0.5000 0.5000 0.0000
Ir 0.1097 0.3706 0.2125
Ir 0.1097 0.8972 0.7392
Ir 0.1622 0.9122 0.2500
Ir 0.3157 0.5657 0.7500
Ir 0.3420 0.1028 0.7125
Ir 0.3420 0.6294 0.2392
Ir 0.6580 0.3706 0.7608
Ir 0.6580 0.8972 0.2875
Ir 0.6843 0.4343 0.2500
Ir 0.8378 0.0878 0.7500
Ir 0.8903 0.1028 0.2608
Ir 0.8903 0.6294 0.7875

Most intense lines, 2θ from 15° to 90°, in order of rising 2θ:
| Position (°2θ) | I_rel |
| --- | --- |
| 27.28 | 13 |
| 29.32 | 11 |
| 30.53 | 25 |
| 32.31 | 12 |
| 35.49 | 100 |
| 36.07 | 13 |
| 38.03 | 33 |
| 44.87 | 15 |
| 47.50 | 45 |
| 49.53 | 10 |

---

No. 11
Computed XRD peak list of TbPt3Au for Cu Kα, from a crystal structure in Alexandria, relaxed with PBE.

Structural model:
Cell lengths 4.6115, 5.9991, 7.0047 Å; angles 90.00, 90.00, 90.00 degrees
Atoms (fractional coordinates):
Tb 0.2500 0.2500 0.1934
Tb 0.7500 0.7500 0.8066
Pt 0.2500 0.0332 0.7606
Pt 0.2500 0.4668 0.7606
Pt 0.2500 0.7500 0.0761
Pt 0.7500 0.2500 0.9239
Pt 0.7500 0.5332 0.2394
Pt 0.7500 0.9668 0.2394
Au 0.2500 0.7500 0.4574
Au 0.7500 0.2500 0.5426

Most intense lines, 2θ from 15° to 90°, in order of rising 2θ:
| Position (°2θ) | I_rel |
| --- | --- |
| 35.49 | 68 |
| 38.02 | 100 |
| 39.07 | 49 |
| 39.56 | 29 |
| 43.44 | 34 |
| 56.81 | 20 |
| 61.01 | 12 |
| 70.09 | 17 |
| 74.86 | 14 |
| 88.77 | 13 |